Record 1
Starting from DFT lattice parameters and positions (GGA-PBE), the X-ray powder pattern of CsPb4Au4 was computed for CuKα.
Neutral-atom scattering factors, no anomalous dispersion.

Structural model:
```
CsPb4Au4
1.0
7.294 0.000 0.000
0.000 7.294 0.000
0.000 0.000 10.039
Cs Pb Au
2 8 8
Direct
0.250 0.750 0.250 Cs
0.750 0.250 0.750 Cs
0.005 0.250 0.114 Pb
0.250 0.005 0.614 Pb
0.250 0.495 0.614 Pb
0.495 0.250 0.114 Pb
0.505 0.750 0.886 Pb
0.750 0.505 0.386 Pb
0.750 0.995 0.386 Pb
0.995 0.750 0.886 Pb
0.058 0.250 0.406 Au
0.250 0.058 0.906 Au
0.250 0.442 0.906 Au
0.442 0.250 0.406 Au
0.558 0.750 0.594 Au
0.750 0.558 0.094 Au
0.750 0.942 0.094 Au
0.942 0.750 0.594 Au
```

Peak list (8 most intense, 10° ≤ 2θ ≤ 90°, by intensity)
2θ (°)  Rel. int.
28.78  100.0
34.79  59.3
29.37  56.8
46.15  50.8
38.54  46.9
50.76  45.4
15.01  38.3
35.78  25.4

Record 2
Starting from DFT lattice parameters and positions (GGA-PBE), the X-ray powder pattern of La8CoNi3Cl4 was computed for CuKα.
Neutral-atom scattering factors, no anomalous dispersion.

Structural model:
```
La8CoNi3Cl4
1.0
7.182 -4.068 0.000
7.182 4.068 0.000
-4.727 0.000 7.583
La Co Ni Cl
8 1 3 4
Direct
0.231 0.742 0.702 La
0.234 0.234 0.703 La
0.258 0.769 0.298 La
0.265 0.265 0.298 La
0.735 0.735 0.702 La
0.742 0.231 0.702 La
0.766 0.766 0.297 La
0.769 0.258 0.298 La
0.000 0.000 0.500 Co
0.000 0.500 0.500 Ni
0.500 0.000 0.500 Ni
0.500 0.500 0.500 Ni
0.000 0.000 0.000 Cl
0.000 0.500 0.000 Cl
0.500 0.000 0.000 Cl
0.500 0.500 0.000 Cl
```

Peak list (8 most intense, 10° ≤ 2θ ≤ 90°, by intensity)
2θ (°)  Rel. int.
29.78  100.0
29.31  54.0
40.62  43.8
11.67  41.3
43.88  38.3
26.34  30.6
51.09  20.1
37.65  18.8

Record 3
Starting from DFT lattice parameters and positions (GGA-PBE), the X-ray powder pattern of Ba3Ga2Pb4 was computed for CuKα.
Neutral-atom scattering factors, no anomalous dispersion.

Structural model:
```
Ba3Ga2Pb4
1.0
6.733 -2.434 0.000
6.733 2.434 0.000
-1.084 0.000 9.835
Ba Ga Pb
3 2 4
Direct
0.000 0.000 0.000 Ba
0.335 0.335 0.334 Ba
0.665 0.665 0.666 Ba
0.346 0.346 0.677 Ga
0.654 0.654 0.323 Ga
0.042 0.042 0.360 Pb
0.312 0.312 0.961 Pb
0.688 0.688 0.039 Pb
0.958 0.958 0.640 Pb
```

Peak list (8 most intense, 10° ≤ 2θ ≤ 90°, by intensity)
2θ (°)  Rel. int.
27.14  100.0
37.13  31.8
40.41  21.9
36.94  17.1
46.47  16.3
34.01  12.7
51.23  12.2
16.82  11.9

Record 4
Starting from DFT lattice parameters and positions (GGA-PBE), the X-ray powder pattern of LaEuB12 was computed for CuKα.
Neutral-atom scattering factors, no anomalous dispersion.

Structural model:
```
LaEuB12
1.0
0.000 4.157 4.157
4.157 0.000 4.157
4.157 4.157 0.000
La Eu B
1 1 12
Direct
0.000 0.000 0.000 La
0.500 0.500 0.500 Eu
0.100 0.100 0.400 B
0.100 0.400 0.100 B
0.100 0.400 0.400 B
0.400 0.100 0.100 B
0.400 0.100 0.400 B
0.400 0.400 0.100 B
0.600 0.600 0.900 B
0.600 0.900 0.600 B
0.600 0.900 0.900 B
0.900 0.600 0.600 B
0.900 0.600 0.900 B
0.900 0.900 0.600 B
```

Peak list (8 most intense, 10° ≤ 2θ ≤ 90°, by intensity)
2θ (°)  Rel. int.
30.41  100.0
21.38  64.3
49.00  49.5
37.48  42.1
67.62  27.9
54.04  27.2
43.55  21.4
71.82  19.9

Record 5
Starting from DFT lattice parameters and positions (GGA-PBE), the X-ray powder pattern of TlCdBr was computed for CuKα.
Neutral-atom scattering factors, no anomalous dispersion.

Structural model:
```
TlCdBr
1.0
5.536 0.000 0.000
0.000 5.548 0.000
0.000 0.000 12.196
Tl Cd Br
4 4 4
Direct
0.000 0.000 0.000 Tl
0.000 0.500 0.500 Tl
0.500 0.000 0.500 Tl
0.500 0.500 0.000 Tl
0.000 0.000 0.678 Cd
0.000 0.500 0.178 Cd
0.500 0.000 0.178 Cd
0.500 0.500 0.678 Cd
0.000 0.000 0.335 Br
0.000 0.500 0.835 Br
0.500 0.000 0.835 Br
0.500 0.500 0.335 Br
```

Peak list (8 most intense, 10° ≤ 2θ ≤ 90°, by intensity)
2θ (°)  Rel. int.
31.72  100.0
32.31  48.0
57.24  36.9
56.12  19.1
46.34  17.5
23.85  15.9
66.25  11.5
44.58  9.5

Record 6
Starting from DFT lattice parameters and positions (GGA-PBE), the X-ray powder pattern of Ca2H2S2O9 was computed for CuKα.
Neutral-atom scattering factors, no anomalous dispersion.

Structural model:
```
Ca2H2S2O9
1.0
8.816 -3.508 0.000
8.816 3.508 0.000
-8.364 0.000 8.820
Ca H S O
6 6 6 27
Direct
0.000 0.000 0.000 Ca
0.322 0.002 0.447 Ca
0.501 0.499 0.500 Ca
0.542 0.128 0.072 Ca
0.872 0.458 0.928 Ca
0.998 0.678 0.553 Ca
0.106 0.362 0.681 H
0.188 0.162 0.701 H
0.398 0.550 0.916 H
0.450 0.602 0.084 H
0.638 0.894 0.319 H
0.838 0.812 0.299 H
0.102 0.725 0.190 S
0.256 0.250 0.253 S
0.275 0.898 0.810 S
0.589 0.253 0.694 S
0.747 0.411 0.306 S
0.750 0.744 0.747 S
0.059 0.298 0.116 O
0.096 0.877 0.180 O
0.123 0.904 0.820 O
0.181 0.204 0.641 O
0.203 0.127 0.855 O
0.203 0.500 0.085 O
0.216 0.442 0.392 O
0.221 0.736 0.351 O
0.264 0.779 0.649 O
0.314 0.064 0.264 O
0.340 0.660 0.000 O
0.352 0.396 0.664 O
0.440 0.192 0.241 O
0.500 0.797 0.915 O
0.558 0.784 0.608 O
0.604 0.648 0.336 O
0.645 0.025 0.599 O
0.662 0.316 0.662 O
0.684 0.338 0.338 O
0.702 0.941 0.884 O
0.706 0.278 0.860 O
0.722 0.294 0.140 O
0.796 0.819 0.359 O
0.808 0.560 0.759 O
0.873 0.797 0.145 O
0.936 0.686 0.736 O
0.975 0.355 0.401 O
```

Peak list (8 most intense, 10° ≤ 2θ ≤ 90°, by intensity)
2θ (°)  Rel. int.
31.61  100.0
29.39  96.6
14.58  90.5
48.81  66.0
25.39  53.9
53.55  24.6
41.78  20.5
54.44  12.9

Record 7
Starting from DFT lattice parameters and positions (GGA-PBE), the X-ray powder pattern of Er2AlGa2Pt5 was computed for CuKα.
Neutral-atom scattering factors, no anomalous dispersion.

Structural model:
```
Er2AlGa2Pt5
1.0
9.722 0.000 0.000
0.000 9.722 0.000
0.000 0.000 3.709
Er Al Ga Pt
4 2 4 10
Direct
0.174 0.326 0.000 Er
0.326 0.826 0.000 Er
0.674 0.174 0.000 Er
0.826 0.674 0.000 Er
0.000 0.000 0.000 Al
0.500 0.500 0.000 Al
0.126 0.626 0.000 Ga
0.374 0.126 0.000 Ga
0.626 0.874 0.000 Ga
0.874 0.374 0.000 Ga
0.000 0.500 0.500 Pt
0.061 0.799 0.500 Pt
0.201 0.061 0.500 Pt
0.299 0.561 0.500 Pt
0.439 0.299 0.500 Pt
0.500 0.000 0.500 Pt
0.561 0.701 0.500 Pt
0.701 0.439 0.500 Pt
0.799 0.939 0.500 Pt
0.939 0.201 0.500 Pt
```

Peak list (8 most intense, 10° ≤ 2θ ≤ 90°, by intensity)
2θ (°)  Rel. int.
38.01  100.0
38.17  64.7
41.40  43.5
31.71  32.9
39.32  32.7
63.86  29.1
49.12  28.1
44.57  22.0

Record 8
Starting from DFT lattice parameters and positions (GGA-PBE), the X-ray powder pattern of CuNiHRuCSe was computed for CuKα.
Neutral-atom scattering factors, no anomalous dispersion.

Structural model:
```
CuNiHRuCSe
1.0
2.989 0.000 0.000
0.000 3.900 0.000
0.000 0.000 13.003
Cu Ni H Ru C Se
2 2 2 2 2 2
Direct
0.000 0.000 0.000 Cu
0.000 0.500 0.500 Cu
0.500 0.000 0.379 Ni
0.500 0.500 0.879 Ni
0.500 0.000 0.093 H
0.500 0.500 0.593 H
0.500 0.000 0.576 Ru
0.500 0.500 0.076 Ru
0.000 0.000 0.473 C
0.000 0.500 0.973 C
0.500 0.000 0.767 Se
0.500 0.500 0.267 Se
```

Peak list (8 most intense, 10° ≤ 2θ ≤ 90°, by intensity)
2θ (°)  Rel. int.
38.58  100.0
41.74  82.4
52.16  73.9
23.82  48.3
46.57  36.5
13.62  34.9
29.89  34.1
41.02  28.3

Record 9
Starting from DFT lattice parameters and positions (GGA-PBE), the X-ray powder pattern of SbAs3 was computed for CuKα.
Neutral-atom scattering factors, no anomalous dispersion.

Structural model:
```
SbAs3
1.0
3.916 0.000 0.000
0.000 5.727 0.000
0.000 0.000 4.369
Sb As
1 3
Direct
0.000 0.000 0.000 Sb
0.000 0.500 0.888 As
0.500 0.000 0.421 As
0.500 0.500 0.513 As
```

Peak list (8 most intense, 10° ≤ 2θ ≤ 90°, by intensity)
2θ (°)  Rel. int.
30.66  100.0
44.34  73.3
31.24  52.9
25.65  19.5
50.42  19.2
56.98  18.7
46.37  17.4
41.33  15.6

Record 10
Starting from DFT lattice parameters and positions (GGA-PBE), the X-ray powder pattern of CaEr3Ga4 was computed for CuKα.
Neutral-atom scattering factors, no anomalous dispersion.

Structural model:
```
CaEr3Ga4
1.0
10.115 0.000 0.000
0.000 7.086 0.000
0.000 0.000 5.057
Ca Er Ga
2 6 8
Direct
0.000 0.000 0.000 Ca
0.500 0.000 0.000 Ca
0.000 0.500 0.000 Er
0.250 0.000 0.499 Er
0.250 0.500 0.499 Er
0.500 0.500 0.000 Er
0.750 0.000 0.501 Er
0.750 0.500 0.501 Er
0.000 0.255 0.500 Ga
0.000 0.745 0.500 Ga
0.250 0.254 0.999 Ga
0.250 0.746 0.999 Ga
0.500 0.255 0.500 Ga
0.500 0.745 0.500 Ga
0.750 0.254 0.001 Ga
0.750 0.746 0.001 Ga
```

Peak list (8 most intense, 10° ≤ 2θ ≤ 90°, by intensity)
2θ (°)  Rel. int.
35.67  100.0
35.50  50.7
63.86  36.0
51.08  17.8
64.19  17.7
75.56  10.9
24.90  10.8
51.60  8.6

Record 11
Starting from DFT lattice parameters and positions (GGA-PBE), the X-ray powder pattern of RbPmZn2F8 was computed for CuKα.
Neutral-atom scattering factors, no anomalous dispersion.

Structural model:
```
RbPmZn2F8
1.0
2.700 1.559 8.443
-2.700 1.559 8.443
0.000 -3.117 8.443
Rb Pm Zn F
1 1 2 8
Direct
0.000 0.000 0.000 Rb
0.500 0.500 0.500 Pm
0.257 0.257 0.257 Zn
0.743 0.743 0.743 Zn
0.108 0.457 0.766 F
0.234 0.543 0.892 F
0.330 0.330 0.330 F
0.457 0.766 0.108 F
0.543 0.892 0.234 F
0.670 0.670 0.670 F
0.766 0.108 0.457 F
0.892 0.234 0.543 F
```

Peak list (8 most intense, 10° ≤ 2θ ≤ 90°, by intensity)
2θ (°)  Rel. int.
23.65  100.0
33.19  44.1
34.20  34.0
55.24  25.2
41.16  21.2
53.86  20.1
59.29  15.1
59.94  13.7

Record 12
Starting from DFT lattice parameters and positions (GGA-PBE), the X-ray powder pattern of SrTl2Cu2F7 was computed for CuKα.
Neutral-atom scattering factors, no anomalous dispersion.

Structural model:
```
SrTl2Cu2F7
1.0
2.947 -2.947 0.000
2.947 2.947 0.000
-2.935 0.000 10.934
Sr Tl Cu F
1 2 2 7
Direct
0.000 0.000 0.000 Sr
0.184 0.184 0.368 Tl
0.816 0.816 0.632 Tl
0.405 0.405 0.809 Cu
0.595 0.595 0.191 Cu
0.079 0.579 0.159 F
0.312 0.312 0.618 F
0.421 0.921 0.841 F
0.500 0.500 0.000 F
0.579 0.079 0.159 F
0.688 0.688 0.382 F
0.921 0.421 0.841 F
```

Peak list (8 most intense, 10° ≤ 2θ ≤ 90°, by intensity)
2θ (°)  Rel. int.
29.61  100.0
30.33  65.0
53.43  39.6
43.42  38.2
24.60  34.1
39.32  28.5
52.08  16.4
63.09  11.9